(1)
Theoretical powder XRD pattern of Fe3OsAu for λ = 1.5418 Å (Cu Kα), from the PBE geometry in Alexandria.

The 6 most intense peaks (5° ≤ 2θ ≤ 70°), by angle:
| Position (°2θ) | d (Å) | Rel. int. |
| --- | --- | --- |
| 28.09 | 3.176 | 100 |
| 34.59 | 2.593 | 13 |
| 40.15 | 2.246 | 58 |
| 49.72 | 1.834 | 44 |
| 58.08 | 1.588 | 39 |
| 65.74 | 1.420 | 19 |

a = 4.492 Å, b = 4.492 Å, c = 4.492 Å
α = 90.00°, β = 90.00°, γ = 90.00°
Sites, in units of the cell vectors:
Fe 0.000 0.000 0.500
Fe 0.000 0.500 0.000
Fe 0.500 0.000 0.000
Os 0.000 0.000 0.000
Au 0.500 0.500 0.500

---

(2)
Theoretical powder XRD pattern of KPa4Rh3S12 for λ = 1.5418 Å (Cu Kα), from the PBE geometry in Alexandria.

The 6 most intense peaks (5° ≤ 2θ ≤ 70°), by angle:
| Position (°2θ) | d (Å) | Rel. int. |
| --- | --- | --- |
| 18.25 | 4.862 | 25 |
| 25.92 | 3.438 | 100 |
| 36.98 | 2.431 | 25 |
| 41.53 | 2.174 | 18 |
| 45.71 | 1.985 | 61 |
| 60.19 | 1.537 | 23 |

a = 8.421 Å, b = 8.421 Å, c = 8.421 Å
α = 109.47°, β = 109.47°, γ = 109.47°
Sites, in units of the cell vectors:
K 0.000 0.000 0.000
Pa 0.000 0.000 0.500
Pa 0.000 0.500 0.000
Pa 0.500 0.000 0.000
Pa 0.500 0.500 0.500
Rh 0.000 0.500 0.500
Rh 0.500 0.000 0.500
Rh 0.500 0.500 0.000
S 0.158 0.319 0.840
S 0.160 0.479 0.319
S 0.160 0.842 0.681
S 0.319 0.160 0.479
S 0.319 0.840 0.158
S 0.479 0.319 0.160
S 0.521 0.681 0.840
S 0.681 0.160 0.842
S 0.681 0.840 0.521
S 0.840 0.158 0.319
S 0.840 0.521 0.681
S 0.842 0.681 0.160

---

(3)
Theoretical powder XRD pattern of Rb3Tl5Sb2 for λ = 1.5418 Å (Cu Kα), from the PBE geometry in Alexandria.

The 6 most intense peaks (5° ≤ 2θ ≤ 70°), by angle:
| Position (°2θ) | d (Å) | Rel. int. |
| --- | --- | --- |
| 8.71 | 10.149 | 45 |
| 26.03 | 3.423 | 100 |
| 27.04 | 3.298 | 60 |
| 32.38 | 2.765 | 85 |
| 35.38 | 2.537 | 38 |
| 36.13 | 2.486 | 39 |

a = 11.038 Å, b = 11.038 Å, c = 11.038 Å
α = 107.17°, β = 86.79°, γ = 139.54°
Sites, in units of the cell vectors:
Rb 0.134 0.745 0.879
Rb 0.250 0.250 0.000
Rb 0.366 0.245 0.612
Rb 0.634 0.755 0.388
Rb 0.750 0.750 0.000
Rb 0.866 0.255 0.121
Tl 0.007 0.750 0.257
Tl 0.120 0.366 0.486
Tl 0.250 0.750 0.500
Tl 0.380 0.866 0.246
Tl 0.493 0.750 0.743
Tl 0.507 0.250 0.257
Tl 0.620 0.134 0.754
Tl 0.750 0.250 0.500
Tl 0.880 0.634 0.514
Tl 0.993 0.250 0.743
Sb 0.150 0.142 0.292
Sb 0.350 0.642 0.992
Sb 0.650 0.358 0.008
Sb 0.850 0.858 0.708

---

(4)
Theoretical powder XRD pattern of CsErAs2O8 for λ = 1.5418 Å (Cu Kα), from the PBE geometry in Alexandria.

The 6 most intense peaks (5° ≤ 2θ ≤ 70°), by angle:
| Position (°2θ) | d (Å) | Rel. int. |
| --- | --- | --- |
| 17.52 | 5.062 | 50 |
| 20.35 | 4.364 | 53 |
| 27.19 | 3.280 | 100 |
| 30.59 | 2.922 | 59 |
| 41.38 | 2.182 | 36 |
| 52.33 | 1.748 | 32 |

a = 5.845 Å, b = 5.845 Å, c = 8.614 Å
α = 90.00°, β = 90.00°, γ = 120.00°
Sites, in units of the cell vectors:
Cs 0.000 0.000 0.000
Er 0.000 0.000 0.500
As 0.333 0.667 0.719
As 0.667 0.333 0.281
O 0.173 0.347 0.656
O 0.173 0.827 0.656
O 0.333 0.667 0.918
O 0.347 0.173 0.344
O 0.653 0.827 0.656
O 0.667 0.333 0.082
O 0.827 0.173 0.344
O 0.827 0.653 0.344

---

(5)
Theoretical powder XRD pattern of Pu2Bi2H for λ = 1.5418 Å (Cu Kα), from the PBE geometry in Alexandria.

The 6 most intense peaks (5° ≤ 2θ ≤ 70°), by angle:
| Position (°2θ) | d (Å) | Rel. int. |
| --- | --- | --- |
| 29.87 | 2.992 | 100 |
| 31.09 | 2.877 | 44 |
| 35.45 | 2.532 | 26 |
| 36.50 | 2.461 | 43 |
| 41.62 | 2.170 | 42 |
| 56.54 | 1.628 | 26 |

a = 13.795 Å, b = 13.795 Å, c = 13.795 Å
α = 161.90°, β = 161.90°, γ = 25.70°
Sites, in units of the cell vectors:
Pu 0.084 0.334 0.750
Pu 0.334 0.084 0.250
Pu 0.666 0.916 0.750
Pu 0.916 0.666 0.250
Bi 0.205 0.455 0.750
Bi 0.455 0.205 0.250
Bi 0.545 0.795 0.750
Bi 0.795 0.545 0.250
H 0.375 0.625 0.750
H 0.625 0.375 0.250

---

(6)
Theoretical powder XRD pattern of RbTlZnTe2 for λ = 1.5418 Å (Cu Kα), from the PBE geometry in Alexandria.

The 6 most intense peaks (5° ≤ 2θ ≤ 70°), by angle:
| Position (°2θ) | d (Å) | Rel. int. |
| --- | --- | --- |
| 10.86 | 8.144 | 100 |
| 21.16 | 4.199 | 57 |
| 25.16 | 3.540 | 53 |
| 28.37 | 3.146 | 71 |
| 28.89 | 3.090 | 53 |
| 33.77 | 2.654 | 70 |

a = 8.148 Å, b = 5.760 Å, c = 8.978 Å
α = 90.00°, β = 91.93°, γ = 90.00°
Sites, in units of the cell vectors:
Rb 0.000 0.244 0.250
Rb 0.000 0.756 0.750
Tl 0.500 0.089 0.250
Tl 0.500 0.911 0.750
Zn 0.500 0.500 0.000
Zn 0.500 0.500 0.500
Te 0.258 0.275 0.907
Te 0.258 0.725 0.407
Te 0.742 0.275 0.593
Te 0.742 0.725 0.093

---

(7)
Theoretical powder XRD pattern of HgPN for λ = 1.5418 Å (Cu Kα), from the PBE geometry in Alexandria.

The 6 most intense peaks (5° ≤ 2θ ≤ 70°), by angle:
| Position (°2θ) | d (Å) | Rel. int. |
| --- | --- | --- |
| 12.45 | 7.112 | 70 |
| 23.20 | 3.834 | 75 |
| 24.16 | 3.684 | 100 |
| 29.00 | 3.079 | 44 |
| 31.17 | 2.869 | 36 |
| 31.41 | 2.848 | 39 |

a = 2.946 Å, b = 6.163 Å, c = 7.713 Å
α = 111.19°, β = 97.97°, γ = 90.00°
Sites, in units of the cell vectors:
Hg 0.113 0.298 0.129
Hg 0.887 0.702 0.871
P 0.239 0.807 0.470
P 0.761 0.193 0.530
N 0.294 0.111 0.620
N 0.706 0.889 0.380

---

(8)
Theoretical powder XRD pattern of KCdFe for λ = 1.5418 Å (Cu Kα), from the PBE geometry in Alexandria.

The 6 most intense peaks (5° ≤ 2θ ≤ 70°), by angle:
| Position (°2θ) | d (Å) | Rel. int. |
| --- | --- | --- |
| 14.41 | 6.146 | 100 |
| 29.06 | 3.073 | 39 |
| 29.75 | 3.003 | 45 |
| 36.89 | 2.437 | 60 |
| 39.79 | 2.265 | 33 |
| 47.63 | 1.909 | 37 |

a = 6.692 Å, b = 6.692 Å, c = 6.692 Å
α = 154.77°, β = 141.48°, γ = 46.60°
Sites, in units of the cell vectors:
K 0.000 0.000 0.000
Cd 0.719 0.719 0.000
Fe 0.276 0.276 0.000

---

(9)
Theoretical powder XRD pattern of Mg2Cd3In2 for λ = 1.5418 Å (Cu Kα), from the PBE geometry in Alexandria.

The 6 most intense peaks (5° ≤ 2θ ≤ 70°), by angle:
| Position (°2θ) | d (Å) | Rel. int. |
| --- | --- | --- |
| 33.71 | 2.659 | 100 |
| 35.04 | 2.561 | 90 |
| 39.63 | 2.274 | 32 |
| 39.82 | 2.264 | 31 |
| 40.27 | 2.239 | 30 |
| 69.80 | 1.347 | 22 |

a = 5.453 Å, b = 5.453 Å, c = 7.296 Å
α = 95.15°, β = 95.15°, γ = 48.50°
Sites, in units of the cell vectors:
Mg 0.069 0.069 0.224
Mg 0.931 0.931 0.776
Cd 0.216 0.216 0.637
Cd 0.500 0.500 0.500
Cd 0.784 0.784 0.363
In 0.358 0.358 0.076
In 0.642 0.642 0.924

---

(10)
Theoretical powder XRD pattern of Ga2AsRh5 for λ = 1.5418 Å (Cu Kα), from the PBE geometry in Alexandria.

The 6 most intense peaks (5° ≤ 2θ ≤ 70°), by angle:
| Position (°2θ) | d (Å) | Rel. int. |
| --- | --- | --- |
| 40.61 | 2.222 | 93 |
| 41.58 | 2.172 | 100 |
| 42.18 | 2.142 | 36 |
| 43.50 | 2.081 | 24 |
| 44.56 | 2.033 | 54 |
| 63.03 | 1.475 | 21 |

a = 5.492 Å, b = 10.275 Å, c = 4.066 Å
α = 90.00°, β = 90.00°, γ = 90.00°
Sites, in units of the cell vectors:
Ga 0.116 0.149 0.000
Ga 0.384 0.649 0.000
Ga 0.616 0.351 0.000
Ga 0.884 0.851 0.000
As 0.000 0.500 0.500
As 0.500 0.000 0.500
Rh 0.000 0.000 0.500
Rh 0.136 0.725 0.500
Rh 0.168 0.397 0.000
Rh 0.332 0.897 0.000
Rh 0.364 0.225 0.500
Rh 0.500 0.500 0.500
Rh 0.636 0.775 0.500
Rh 0.668 0.103 0.000
Rh 0.832 0.603 0.000
Rh 0.864 0.275 0.500

---

(11)
Theoretical powder XRD pattern of SmHo3Pd2 for λ = 1.5418 Å (Cu Kα), from the PBE geometry in Alexandria.

The 6 most intense peaks (5° ≤ 2θ ≤ 70°), by angle:
| Position (°2θ) | d (Å) | Rel. int. |
| --- | --- | --- |
| 29.61 | 3.017 | 42 |
| 31.77 | 2.816 | 45 |
| 32.75 | 2.735 | 44 |
| 32.91 | 2.722 | 100 |
| 38.13 | 2.360 | 53 |
| 48.02 | 1.895 | 25 |

a = 3.789 Å, b = 9.672 Å, c = 8.553 Å
α = 90.00°, β = 90.00°, γ = 90.00°
Sites, in units of the cell vectors:
Sm 0.000 0.070 0.000
Sm 0.000 0.930 0.500
Ho 0.000 0.289 0.654
Ho 0.000 0.711 0.154
Ho 0.500 0.216 0.321
Ho 0.500 0.433 0.978
Ho 0.500 0.567 0.478
Ho 0.500 0.784 0.821
Pd 0.000 0.424 0.252
Pd 0.000 0.576 0.752
Pd 0.500 0.081 0.724
Pd 0.500 0.919 0.224

---

(12)
Theoretical powder XRD pattern of Al2C for λ = 1.5418 Å (Cu Kα), from the PBE geometry in Alexandria.

The 6 most intense peaks (5° ≤ 2θ ≤ 70°), by angle:
| Position (°2θ) | d (Å) | Rel. int. |
| --- | --- | --- |
| 19.46 | 4.561 | 28 |
| 34.44 | 2.604 | 29 |
| 39.11 | 2.303 | 100 |
| 39.52 | 2.281 | 19 |
| 44.73 | 2.026 | 21 |
| 60.21 | 1.537 | 29 |

a = 3.119 Å, b = 3.119 Å, c = 9.122 Å
α = 90.00°, β = 90.00°, γ = 121.19°
Sites, in units of the cell vectors:
Al 0.171 0.829 0.885
Al 0.329 0.671 0.385
Al 0.671 0.329 0.615
Al 0.829 0.171 0.115
C 0.000 0.000 0.500
C 0.500 0.500 0.000